# 1
# InI3O12
Computed powder diffraction line list, Cu Kα. Input: the GGA-PBE geometry in Alexandria.

Crystal structure
abc: 7.190 7.280 10.443
angles: 87.26 73.86 82.55
Element x y z (fractional)
In (0.000, 0.000, 0.000)
In (0.000, 0.000, 0.500)
I (0.171, 0.582, 0.306)
I (0.344, 0.105, 0.176)
I (0.489, 0.740, 0.494)
I (0.511, 0.260, 0.506)
I (0.656, 0.895, 0.824)
I (0.829, 0.418, 0.694)
O (0.023, 0.266, 0.577)
O (0.024, 0.637, 0.154)
O (0.091, 0.194, 0.837)
O (0.101, 0.116, 0.298)
O (0.163, 0.736, 0.863)
O (0.237, 0.594, 0.911)
O (0.283, 0.004, 0.033)
O (0.303, 0.950, 0.516)
O (0.308, 0.570, 0.526)
O (0.323, 0.347, 0.123)
O (0.364, 0.731, 0.255)
O (0.467, 0.267, 0.342)
O (0.533, 0.733, 0.658)
O (0.636, 0.269, 0.745)
O (0.677, 0.653, 0.877)
O (0.692, 0.430, 0.474)
O (0.697, 0.050, 0.484)
O (0.717, 0.996, 0.967)
O (0.763, 0.406, 0.089)
O (0.837, 0.264, 0.137)
O (0.899, 0.884, 0.702)
O (0.909, 0.806, 0.163)
O (0.976, 0.363, 0.846)
O (0.977, 0.734, 0.423)

Main lines, by angle (2θ = 10–90°):
2θ 17.6, I = 100
2θ 21.7, I = 43
2θ 26.3, I = 88
2θ 27.2, I = 87
2θ 29.3, I = 78
2θ 29.7, I = 75

---

# 2
# HfBe9Mo2
Computed powder diffraction line list, Cu Kα. Input: the GGA-PBE geometry in Alexandria.

Crystal structure
abc: 4.487 4.487 14.097
angles: 90.00 90.00 120.00
Element x y z (fractional)
Hf (0.333, 0.667, 0.250)
Hf (0.667, 0.333, 0.750)
Be (0.000, 0.000, 0.000)
Be (0.000, 0.000, 0.250)
Be (0.000, 0.000, 0.500)
Be (0.000, 0.000, 0.750)
Be (0.170, 0.339, 0.625)
Be (0.170, 0.339, 0.875)
Be (0.170, 0.830, 0.625)
Be (0.170, 0.830, 0.875)
Be (0.333, 0.667, 0.750)
Be (0.339, 0.170, 0.125)
Be (0.339, 0.170, 0.375)
Be (0.661, 0.830, 0.625)
Be (0.661, 0.830, 0.875)
Be (0.667, 0.333, 0.250)
Be (0.830, 0.170, 0.125)
Be (0.830, 0.170, 0.375)
Be (0.830, 0.661, 0.125)
Be (0.830, 0.661, 0.375)
Mo (0.333, 0.667, 0.034)
Mo (0.333, 0.667, 0.466)
Mo (0.667, 0.333, 0.534)
Mo (0.667, 0.333, 0.966)

Main lines, by angle (2θ = 10–90°):
2θ 22.9, I = 53
2θ 23.8, I = 100
2θ 25.3, I = 38
2θ 39.5, I = 82
2θ 40.2, I = 60
2θ 48.1, I = 55

---

# 3
# Nd2Ga4PtAu3
Computed powder diffraction line list, Cu Kα. Input: the GGA-PBE geometry in Alexandria.

Crystal structure
abc: 4.422 4.422 10.489
angles: 90.00 90.00 90.00
Element x y z (fractional)
Nd (0.000, 0.500, 0.247)
Nd (0.500, 0.000, 0.753)
Ga (0.000, 0.000, 0.500)
Ga (0.000, 0.500, 0.875)
Ga (0.500, 0.000, 0.125)
Ga (0.500, 0.500, 0.500)
Pt (0.500, 0.500, 0.000)
Au (0.000, 0.000, 0.000)
Au (0.000, 0.500, 0.635)
Au (0.500, 0.000, 0.365)

Main lines, by angle (2θ = 10–90°):
2θ 29.8, I = 27
2θ 32.7, I = 52
2θ 33.4, I = 100
2θ 40.8, I = 71
2θ 45.1, I = 35
2θ 69.6, I = 29

---

# 4
# La4Sm5Tm
Computed powder diffraction line list, Cu Kα. Input: the GGA-PBE geometry in Alexandria.

Crystal structure
abc: 8.134 8.134 8.134
angles: 98.60 98.60 134.50
Element x y z (fractional)
La (0.000, 0.324, 0.324)
La (0.000, 0.676, 0.676)
La (0.324, 0.000, 0.324)
La (0.676, 0.000, 0.676)
Sm (0.269, 0.269, 0.623)
Sm (0.269, 0.647, 0.000)
Sm (0.647, 0.269, 0.000)
Sm (0.647, 0.647, 0.377)
Sm (0.731, 0.731, 0.000)
Tm (0.202, 0.202, 0.000)

Main lines, by angle (2θ = 10–90°):
2θ 29.0, I = 100
2θ 30.8, I = 15
2θ 33.1, I = 24
2θ 35.9, I = 42
2θ 58.6, I = 17
2θ 60.4, I = 17

---

# 5
# RbTl3Fe4Cl12
Computed powder diffraction line list, Cu Kα. Input: the GGA-PBE geometry in Alexandria.

Crystal structure
abc: 9.584 9.584 9.584
angles: 103.63 103.63 103.63
Element x y z (fractional)
Rb (0.000, 0.000, 0.000)
Tl (0.000, 0.531, 0.469)
Tl (0.469, 0.000, 0.531)
Tl (0.531, 0.469, 0.000)
Fe (0.035, 0.500, 0.965)
Fe (0.500, 0.500, 0.500)
Fe (0.500, 0.965, 0.035)
Fe (0.965, 0.035, 0.500)
Cl (0.029, 0.652, 0.824)
Cl (0.112, 0.888, 0.500)
Cl (0.176, 0.348, 0.971)
Cl (0.348, 0.971, 0.176)
Cl (0.354, 0.646, 0.500)
Cl (0.500, 0.112, 0.888)
Cl (0.500, 0.354, 0.646)
Cl (0.646, 0.500, 0.354)
Cl (0.652, 0.824, 0.029)
Cl (0.824, 0.029, 0.652)
Cl (0.888, 0.500, 0.112)
Cl (0.971, 0.176, 0.348)

Main lines, by angle (2θ = 10–90°):
2θ 15.4, I = 23
2θ 19.4, I = 23
2θ 20.0, I = 100
2θ 23.6, I = 30
2θ 32.6, I = 22
2θ 32.7, I = 29

---

# 6
# LiCe2Ni
Computed powder diffraction line list, Cu Kα. Input: the GGA-PBE geometry in Alexandria.

Crystal structure
abc: 4.804 4.804 3.671
angles: 90.00 90.00 90.00
Element x y z (fractional)
Li (0.000, 0.000, 0.000)
Ce (0.000, 0.500, 0.500)
Ce (0.500, 0.000, 0.500)
Ni (0.500, 0.500, 0.000)

Main lines, by angle (2θ = 10–90°):
2θ 24.2, I = 25
2θ 26.2, I = 41
2θ 36.0, I = 100
2θ 37.4, I = 45
2θ 45.1, I = 19
2θ 66.6, I = 32

---

# 7
# TmCd6Ag8
Computed powder diffraction line list, Cu Kα. Input: the GGA-PBE geometry in Alexandria.

Crystal structure
abc: 8.657 8.657 4.827
angles: 90.00 90.00 120.00
Element x y z (fractional)
Tm (0.000, 0.000, 0.000)
Cd (0.215, 0.430, 0.000)
Cd (0.215, 0.785, 0.000)
Cd (0.430, 0.215, 0.000)
Cd (0.570, 0.785, 0.000)
Cd (0.785, 0.215, 0.000)
Cd (0.785, 0.570, 0.000)
Ag (0.000, 0.321, 0.500)
Ag (0.000, 0.679, 0.500)
Ag (0.321, 0.000, 0.500)
Ag (0.321, 0.321, 0.500)
Ag (0.333, 0.667, 0.500)
Ag (0.667, 0.333, 0.500)
Ag (0.679, 0.000, 0.500)
Ag (0.679, 0.679, 0.500)

Main lines, by angle (2θ = 10–90°):
2θ 31.6, I = 29
2θ 35.9, I = 28
2θ 36.8, I = 100
2θ 37.3, I = 50
2θ 40.7, I = 85
2θ 77.0, I = 31

---

# 8
# Al5V5H2
Computed powder diffraction line list, Cu Kα. Input: the GGA-PBE geometry in Alexandria.

Crystal structure
abc: 4.898 4.898 9.431
angles: 93.00 93.00 41.01
Element x y z (fractional)
Al (0.000, 0.000, 0.000)
Al (0.194, 0.194, 0.394)
Al (0.297, 0.297, 0.105)
Al (0.703, 0.703, 0.895)
Al (0.806, 0.806, 0.606)
V (0.097, 0.097, 0.690)
V (0.405, 0.405, 0.812)
V (0.500, 0.500, 0.500)
V (0.595, 0.595, 0.188)
V (0.903, 0.903, 0.310)
H (0.458, 0.458, 0.311)
H (0.542, 0.542, 0.689)

Main lines, by angle (2θ = 10–90°):
2θ 39.7, I = 100
2θ 41.1, I = 92
2θ 42.9, I = 41
2θ 44.2, I = 35
2θ 53.4, I = 21
2θ 70.8, I = 17

---

# 9
# Nd12AgSn6
Computed powder diffraction line list, Cu Kα. Input: the GGA-PBE geometry in Alexandria.

Crystal structure
abc: 9.002 9.002 9.002
angles: 99.95 99.95 99.95
Element x y z (fractional)
Nd (0.033, 0.674, 0.946)
Nd (0.054, 0.967, 0.326)
Nd (0.191, 0.423, 0.563)
Nd (0.326, 0.054, 0.967)
Nd (0.423, 0.563, 0.191)
Nd (0.437, 0.809, 0.577)
Nd (0.563, 0.191, 0.423)
Nd (0.577, 0.437, 0.809)
Nd (0.674, 0.946, 0.033)
Nd (0.809, 0.577, 0.437)
Nd (0.946, 0.033, 0.674)
Nd (0.967, 0.326, 0.054)
Ag (0.000, 0.000, 0.000)
Sn (0.125, 0.630, 0.313)
Sn (0.313, 0.125, 0.630)
Sn (0.370, 0.687, 0.875)
Sn (0.630, 0.313, 0.125)
Sn (0.687, 0.875, 0.370)
Sn (0.875, 0.370, 0.687)

Main lines, by angle (2θ = 10–90°):
2θ 20.9, I = 62
2θ 24.3, I = 42
2θ 29.3, I = 44
2θ 30.5, I = 80
2θ 34.4, I = 96
2θ 34.7, I = 100

---

# 10
# Ac4SiTeAs2
Computed powder diffraction line list, Cu Kα. Input: the GGA-PBE geometry in Alexandria.

Crystal structure
abc: 7.991 4.584 8.013
angles: 90.00 109.15 90.00
Element x y z (fractional)
Ac (0.237, 0.000, 0.233)
Ac (0.245, 0.500, 0.758)
Ac (0.755, 0.500, 0.242)
Ac (0.763, 0.000, 0.767)
Si (0.500, 0.000, 0.000)
Te (0.500, 0.500, 0.500)
As (0.000, 0.000, 0.500)
As (0.000, 0.500, 0.000)

Main lines, by angle (2θ = 10–90°):
2θ 23.5, I = 21
2θ 23.7, I = 21
2θ 27.4, I = 100
2θ 39.1, I = 52
2θ 48.6, I = 14
2θ 56.4, I = 13

---

# 11
# NaCdSnAu
Computed powder diffraction line list, Cu Kα. Input: the GGA-PBE geometry in Alexandria.

Crystal structure
abc: 8.287 4.772 5.723
angles: 90.00 119.28 90.00
Element x y z (fractional)
Na (0.000, 0.000, 0.000)
Na (0.500, 0.500, 0.000)
Cd (0.223, 0.000, 0.669)
Cd (0.723, 0.500, 0.669)
Sn (0.289, 0.500, 0.364)
Sn (0.789, 0.000, 0.364)
Au (0.420, 0.000, 0.260)
Au (0.920, 0.500, 0.260)

Main lines, by angle (2θ = 10–90°):
2θ 17.8, I = 50
2θ 24.6, I = 59
2θ 37.0, I = 56
2θ 37.2, I = 28
2θ 37.7, I = 100
2θ 42.0, I = 24

---

# 12
# CdHRh3
Computed powder diffraction line list, Cu Kα. Input: the GGA-PBE geometry in Alexandria.

Crystal structure
abc: 7.324 7.324 4.909
angles: 90.35 90.35 101.36
Element x y z (fractional)
Cd (0.063, 0.198, 0.080)
Cd (0.198, 0.063, 0.580)
Cd (0.802, 0.937, 0.420)
Cd (0.937, 0.802, 0.920)
H (0.305, 0.695, 0.250)
H (0.445, 0.555, 0.750)
H (0.555, 0.445, 0.250)
H (0.695, 0.305, 0.750)
Rh (0.065, 0.674, 0.418)
Rh (0.186, 0.561, 0.906)
Rh (0.311, 0.444, 0.427)
Rh (0.326, 0.935, 0.082)
Rh (0.439, 0.814, 0.594)
Rh (0.444, 0.311, 0.927)
Rh (0.556, 0.689, 0.073)
Rh (0.561, 0.186, 0.406)
Rh (0.674, 0.065, 0.918)
Rh (0.689, 0.556, 0.573)
Rh (0.814, 0.439, 0.094)
Rh (0.935, 0.326, 0.582)

Main lines, by angle (2θ = 10–90°):
2θ 36.6, I = 47
2θ 38.8, I = 53
2θ 41.5, I = 100
2θ 41.8, I = 96
2θ 65.9, I = 31
2θ 72.0, I = 13